No. 1
Starting from a structure optimized by DFT (GGA+U), the X-ray diffraction stick pattern of SrTaCrO6 was simulated for Cu Kα (λ = 1.5418 Å).
No peak broadening, texture or thermal motion is included.

Peak list (8 most intense, 5 to 70 degrees two-theta, in order of falling intensity)
d (Å), Position (°2θ), Rel. int., hkl
3.501, 25.4, 100, 1 1 0
2.696, 33.2, 82, 1 0 3
1.824, 50.0, 61, 2 1 3
4.405, 20.2, 37, 1 0 1
2.476, 36.3, 21, 2 0 0
1.751, 52.3, 18, 2 2 0
1.468, 63.3, 17, 3 0 3
1.566, 59.0, 16, 3 1 0

Structure:
```
SrTaCrO6
1.0
4.952 0.000 0.000
0.000 4.952 0.000
0.000 0.000 9.645
Sr Ta Cr O
2 2 2 12
Direct
0.000 0.000 0.000 Sr
0.500 0.500 0.500 Sr
0.000 0.000 0.651 Ta
0.500 0.500 0.151 Ta
0.000 0.000 0.331 Cr
0.500 0.500 0.831 Cr
0.167 0.167 0.486 O
0.233 0.233 0.195 O
0.248 0.248 0.789 O
0.252 0.748 0.289 O
0.267 0.733 0.695 O
0.333 0.667 0.986 O
0.667 0.333 0.986 O
0.733 0.267 0.695 O
0.748 0.252 0.289 O
0.752 0.752 0.789 O
0.767 0.767 0.195 O
0.833 0.833 0.486 O
```

No. 2
Starting from a structure optimized by DFT (GGA+U), the X-ray diffraction stick pattern of CsCrS2O8 was simulated for Cu Kα (λ = 1.5418 Å).
No peak broadening, texture or thermal motion is included.

Peak list (8 most intense, 5 to 70 degrees two-theta, in order of falling intensity)
d (Å), Position (°2θ), Rel. int., hkl
3.129, 28.5, 100, 1 0 2
3.968, 22.4, 65, 0 1 1
4.444, 20.0, 52, 1 0 0
2.566, 35.0, 39, 1 1 0
1.984, 45.7, 30, 2 0 2
1.570, 58.8, 23, 2 1 2
1.974, 46.0, 21, 0 1 4
2.218, 40.7, 18, 1 1 2

Structure:
```
CsCrS2O8
1.0
5.132 0.000 0.000
-2.566 4.444 0.000
0.000 0.000 8.811
Cs Cr S O
1 1 2 8
Direct
0.000 0.000 0.000 Cs
0.000 0.000 0.500 Cr
0.333 0.667 0.304 S
0.667 0.333 0.696 S
0.141 0.789 0.359 O
0.211 0.352 0.359 O
0.333 0.667 0.139 O
0.352 0.211 0.641 O
0.648 0.859 0.359 O
0.667 0.333 0.861 O
0.789 0.141 0.641 O
0.859 0.648 0.641 O
```